(1)
For AlGa2Ni7, DFT lattice parameters and positions (PBE) gives the simulated powder diffractogram in this record (copper Kα).
No peak broadening, texture or thermal motion is included.

The 10 most intense peaks (2θ from 10° to 80°), in order of falling intensity:
d 1.974, rel. 100
d 1.953, rel. 98
d 1.389, rel. 30
d 2.777, rel. 24
d 3.218, rel. 13
d 3.420, rel. 11
d 4.759, rel. 7
d 2.326, rel. 6
d 3.172, rel. 5
d 1.676, rel. 5

Structure:
```
data_AlGa2Ni7
_chemical_formula_sum 'Al1 Ga2 Ni7'
_space_group_name_H-M_alt 'P 3 m 1'
_space_group_IT_number 156
_cell_length_a 3.9488
_cell_length_b 3.9488
_cell_length_c 9.5171
_cell_angle_alpha 90.00
_cell_angle_beta 90.00
_cell_angle_gamma 120.00
loop_
_space_group_symop_operation_xyz
'x,y,z'
'-y,x-y,z'
'-x+y,-x,z'
'-y,-x,z'
'-x+y,y,z'
'x,x-y,z'
loop_
_atom_site_label
_atom_site_fract_x
_atom_site_fract_y
_atom_site_fract_z
Al1 0.0000 0.0000 0.0000
Ga1 0.3333 0.6667 0.6669
Ga2 0.6667 0.3333 0.3345
Ni1 0.0000 0.0000 0.2528
Ni2 0.0000 0.0000 0.7414
Ni3 0.3333 0.6667 0.4139
Ni4 0.3333 0.6667 0.9291
Ni5 0.6667 0.3333 0.0902
Ni6 0.6667 0.3333 0.5794
Ni7 0.6667 0.3333 0.8363
```


(2)
For Cs2YNpSe4, DFT lattice parameters and positions (PBE) gives the simulated powder diffractogram in this record (copper Kα).
No peak broadening, texture or thermal motion is included.

The 10 most intense peaks (2θ from 10° to 80°), in order of falling intensity:
d 3.208, rel. 100
d 2.156, rel. 36
d 2.401, rel. 33
d 8.364, rel. 14
d 3.579, rel. 13
d 4.180, rel. 13
d 1.788, rel. 12
d 2.083, rel. 12
d 1.378, rel. 10
d 1.604, rel. 10

Structure:
```
data_Cs2YNpSe4
_chemical_formula_sum 'Cs2 Y1 Np1 Se4'
_space_group_name_H-M_alt 'P 1 2/m 1'
_space_group_IT_number 10
_cell_length_a 7.4779
_cell_length_b 4.3052
_cell_length_c 8.7257
_cell_angle_alpha 90.00
_cell_angle_beta 106.56
_cell_angle_gamma 90.00
loop_
_space_group_symop_operation_xyz
'x,y,z'
'-x,-y,-z'
'-x,y,-z'
'x,-y,z'
loop_
_atom_site_label
_atom_site_fract_x
_atom_site_fract_y
_atom_site_fract_z
Cs1 0.0000 0.0000 0.0000
Cs2 0.5000 0.5000 0.0000
Y1 0.0000 0.5000 0.5000
Np1 0.5000 0.0000 0.5000
Se1 0.2249 0.0000 0.6861
Se2 0.2693 0.5000 0.3149
```


(3)
For TlAg3Pd4, DFT lattice parameters and positions (PBE) gives the simulated powder diffractogram in this record (copper Kα).
No peak broadening, texture or thermal motion is included.

The 10 most intense peaks (2θ from 10° to 80°), in order of falling intensity:
d 2.259, rel. 100
d 2.349, rel. 33
d 2.388, rel. 19
d 1.338, rel. 18
d 1.675, rel. 12
d 2.314, rel. 10
d 1.282, rel. 9
d 2.484, rel. 9
d 1.288, rel. 9
d 1.530, rel. 8

Structure:
```
data_TlAg3Pd4
_chemical_formula_sum 'Tl2 Ag6 Pd8'
_space_group_name_H-M_alt 'P m m a'
_space_group_IT_number 51
_cell_length_a 9.3971
_cell_length_b 6.1180
_cell_length_c 4.7756
_cell_angle_alpha 90.00
_cell_angle_beta 90.00
_cell_angle_gamma 90.00
loop_
_space_group_symop_operation_xyz
'x,y,z'
'-x,-y,-z'
'-x+1/2,-y,z'
'x+1/2,y,-z'
'x+1/2,-y,-z'
'-x+1/2,y,z'
'-x,y,-z'
'x,-y,z'
loop_
_atom_site_label
_atom_site_fract_x
_atom_site_fract_y
_atom_site_fract_z
Tl1 0.0000 0.0000 0.0000
Ag1 0.0000 0.5000 0.0000
Ag2 0.2500 0.0000 0.4186
Ag3 0.2500 0.5000 0.4085
Pd1 0.0000 0.2525 0.5000
Pd2 0.2500 0.2521 0.9071
```


(4)
For NpPa4, DFT lattice parameters and positions (PBE) gives the simulated powder diffractogram in this record (copper Kα).
No peak broadening, texture or thermal motion is included.

The 10 most intense peaks (2θ from 10° to 80°), in order of falling intensity:
d 2.548, rel. 100
d 1.801, rel. 73
d 2.942, rel. 69
d 1.536, rel. 31
d 1.471, rel. 26
d 5.095, rel. 23
d 3.603, rel. 20
d 2.279, rel. 12
d 1.274, rel. 12
d 2.080, rel. 9

Structure:
```
data_NpPa4
_chemical_formula_sum 'Np1 Pa4'
_space_group_name_H-M_alt 'P m -3 m'
_space_group_IT_number 221
_space_group_name_Hall '-P 4 2 3'
_cell_length_a 5.0953
_cell_length_b 5.0953
_cell_length_c 5.0953
_cell_angle_alpha 90.00
_cell_angle_beta 90.00
_cell_angle_gamma 90.00
loop_
_atom_site_label
_atom_site_fract_x
_atom_site_fract_y
_atom_site_fract_z
Np1 0.0000 0.0000 0.0000
Pa1 0.0000 0.0000 0.5000
Pa2 0.5000 0.5000 0.5000
```